Record 1
# K2HgCl4
Computed PXRD pattern, Cu Ka. Input: DFT lattice parameters and positions (GGA-PBE).
Lines closer than 0.1° are merged.

Crystal structure
Cell lengths 13.649, 9.192, 8.119 Å; angles 90.00, 90.00, 90.00 degrees
Space group Pnma (No. 62)
Symmetry-distinct sites (fractional):
K 0.000 0.000 0.000 [4 per cell]
K 0.000 0.000 0.500 [4 per cell]
Hg 0.233 0.250 0.225 [4 per cell]
Cl 0.046 0.250 0.751 [4 per cell]
Cl 0.068 0.750 0.745 [4 per cell]
Cl 0.196 0.501 0.226 [8 per cell]

Main lines, sorted by position (5 to 70 degrees two-theta):
Position (°2θ)  I_rel  index
14.56  93.1  0 1 1
19.55  100.0  2 1 1
21.90  31.5  0 0 2
25.53  48.9  2 0 2
26.11  27.2  4 0 0
28.37  25.5  4 0 1
29.36  36.2  0 2 2
30.03  24.5  4 1 1
33.92  26.3  2 3 1
39.69  26.4  4 2 2

Record 2
# K2LiCeBr6
Computed PXRD pattern, Cu Ka. Input: DFT lattice parameters and positions (GGA-PBE).
Lines closer than 0.1° are merged.

Crystal structure
Cell lengths 11.221, 11.221, 11.221 Å; angles 90.00, 90.00, 90.00 degrees
Space group Fm-3m (No. 225)
Symmetry-distinct sites (fractional):
K 0.250 0.250 0.250 [8 per cell]
Li 0.000 0.000 0.000 [4 per cell]
Ce 0.000 0.000 0.500 [4 per cell]
Br 0.000 0.000 0.243 [24 per cell]

Main lines, sorted by position (5 to 70 degrees two-theta):
Position (°2θ)  I_rel  index
13.67  24.1  1 1 1
15.80  54.9  2 0 0
26.34  25.5  3 1 1
27.54  71.3  2 2 2
31.90  100.0  4 0 0
34.85  17.9  3 3 1
35.79  28.9  4 2 0
45.74  70.6  4 4 0
54.22  28.6  6 2 2
56.85  24.0  4 4 4

Record 3
# Ag2H12SN4O4
Computed PXRD pattern, Cu Ka. Input: DFT lattice parameters and positions (GGA-PBE).
Lines closer than 0.1° are merged.

Crystal structure
Cell lengths 8.583, 8.583, 6.450 Å; angles 90.00, 90.00, 90.00 degrees
Space group P-42_1c (No. 114)
Symmetry-distinct sites (fractional):
Ag 0.000 0.500 0.015 [4 per cell]
H 0.056 0.783 0.363 [8 per cell]
H 0.085 0.798 0.620 [8 per cell]
H 0.212 0.719 0.971 [8 per cell]
S 0.000 0.000 0.000 [2 per cell]
N 0.100 0.728 0.492 [8 per cell]
O 0.065 0.127 0.133 [8 per cell]

Main lines, sorted by position (5 to 70 degrees two-theta):
Position (°2θ)  I_rel  index
14.60  70.5  1 1 0
20.70  100.0  2 0 0
27.66  36.6  0 0 2
29.43  36.6  2 2 0
31.41  43.3  1 1 2
33.00  37.4  3 1 0
34.80  42.8  2 0 2
40.83  31.5  2 2 2
43.58  27.7  3 1 2
55.74  30.4  4 2 2